No. 1
Structure and computed powder diffractogram of Nb10Sn3Ge3 (a structure optimized by DFT (GGA-PBE); copper Kα).
Kinematic intensities with the Lorentz-polarization factor, no thermal factor.

Most intense lines, 2θ from 5° to 70°, sorted by position:
34.28°, rel. 402
35.23°, rel. 391
37.97°, rel. 461
38.25°, rel. 324
38.40°, rel. 745
39.09°, rel. 990
39.23°, rel. 1000
42.12°, rel. 301
42.24°, rel. 224
64.66°, rel. 451

Atomic structure:
Lattice parameters (Å, degrees): 10.560 7.881 7.943 83.72 47.89 48.39
Fractional positions:
1 Nb 0.102 0.898 0.102
2 Nb 0.256 0.462 0.538
3 Nb 0.401 0.741 0.259
4 Nb 0.421 0.918 0.579
5 Nb 0.462 0.256 0.744
6 Nb 0.608 0.960 0.040
7 Nb 0.741 0.401 0.599
8 Nb 0.898 0.102 0.898
9 Nb 0.918 0.421 0.082
10 Nb 0.960 0.608 0.392
11 Sn 0.009 0.347 0.653
12 Sn 0.347 0.009 0.991
13 Sn 0.842 0.842 0.158
14 Ge 0.429 0.429 0.071
15 Ge 0.508 0.508 0.492
16 Ge 0.929 0.929 0.571


No. 2
Structure and computed powder diffractogram of Nb4SnGe (a structure optimized by DFT (GGA-PBE); copper Kα).
Kinematic intensities with the Lorentz-polarization factor, no thermal factor.

Most intense lines, 2θ from 5° to 70°, sorted by position:
33.67°, rel. 594
35.47°, rel. 627
36.44°, rel. 118
38.25°, rel. 1000
43.14°, rel. 780
49.71°, rel. 389
59.65°, rel. 159
66.19°, rel. 100
67.45°, rel. 125
68.99°, rel. 187

Atomic structure:
Lattice parameters (Å, degrees): 4.925 4.925 9.450 114.06 114.06 33.31
Fractional positions:
1 Nb 0.159 0.159 0.329
2 Nb 0.336 0.336 0.155
3 Nb 0.664 0.664 0.845
4 Nb 0.841 0.841 0.671
5 Sn 0.500 0.500 0.500
6 Ge 0.000 0.000 0.000


No. 3
Structure and computed powder diffractogram of TaNb2Ge (a structure optimized by DFT (GGA-PBE); copper Kα).
Kinematic intensities with the Lorentz-polarization factor, no thermal factor.

Most intense lines, 2θ from 5° to 70°, sorted by position:
17.03°, rel. 211
35.52°, rel. 746
36.49°, rel. 348
36.62°, rel. 363
38.55°, rel. 266
38.68°, rel. 296
39.64°, rel. 1000
42.43°, rel. 474
56.59°, rel. 230
63.10°, rel. 246

Atomic structure:
Lattice parameters (Å, degrees): 7.811 7.811 7.811 96.42 96.42 140.92
Fractional positions:
1 Ta 0.184 0.705 0.910
2 Ta 0.295 0.205 0.478
3 Ta 0.726 0.816 0.522
4 Ta 0.795 0.274 0.090
5 Nb 0.079 0.400 0.514
6 Nb 0.119 0.278 0.866
7 Nb 0.411 0.253 0.134
8 Nb 0.435 0.921 0.321
9 Nb 0.600 0.114 0.679
10 Nb 0.722 0.589 0.842
11 Nb 0.747 0.881 0.158
12 Nb 0.886 0.565 0.486
13 Ge 0.209 0.024 0.767
14 Ge 0.257 0.442 0.233
15 Ge 0.558 0.791 0.815
16 Ge 0.976 0.743 0.185


No. 4
Structure and computed powder diffractogram of Ta3NbGe (a structure optimized by DFT (GGA-PBE); copper Kα).
Kinematic intensities with the Lorentz-polarization factor, no thermal factor.

Most intense lines, 2θ from 5° to 70°, sorted by position:
18.90°, rel. 102
22.83°, rel. 30
25.35°, rel. 116
38.46°, rel. 1000
38.93°, rel. 961
43.19°, rel. 79
46.63°, rel. 24
55.88°, rel. 337
69.57°, rel. 176
69.88°, rel. 345

Atomic structure:
Lattice parameters (Å, degrees): 5.418 5.418 5.418 51.19 51.19 51.19
Fractional positions:
1 Ta 0.000 0.000 0.000
2 Ta 0.203 0.203 0.203
3 Ta 0.597 0.597 0.597
4 Nb 0.397 0.397 0.397
5 Ge 0.799 0.799 0.799


No. 5
Structure and computed powder diffractogram of Tb2Nb3Ge4 (a structure optimized by DFT (GGA-PBE); copper Kα).
Kinematic intensities with the Lorentz-polarization factor, no thermal factor.

Most intense lines, 2θ from 5° to 70°, sorted by position:
34.22°, rel. 1000
34.58°, rel. 957
36.29°, rel. 516
38.56°, rel. 205
38.88°, rel. 231
39.60°, rel. 209
39.75°, rel. 246
40.17°, rel. 311
40.44°, rel. 543
61.59°, rel. 221

Atomic structure:
Lattice parameters (Å, degrees): 7.037 13.607 7.216 90.00 90.00 90.00
Fractional positions:
1 Tb 0.003 0.095 0.173
2 Tb 0.003 0.405 0.173
3 Tb 0.497 0.595 0.673
4 Tb 0.497 0.905 0.673
5 Tb 0.503 0.095 0.327
6 Tb 0.503 0.405 0.327
7 Tb 0.997 0.595 0.827
8 Tb 0.997 0.905 0.827
9 Nb 0.160 0.627 0.329
10 Nb 0.160 0.873 0.329
11 Nb 0.165 0.250 0.513
12 Nb 0.335 0.750 0.013
13 Nb 0.340 0.127 0.829
14 Nb 0.340 0.373 0.829
15 Nb 0.660 0.627 0.171
16 Nb 0.660 0.873 0.171
17 Nb 0.665 0.250 0.987
18 Nb 0.835 0.750 0.487
19 Nb 0.840 0.127 0.671
20 Nb 0.840 0.373 0.671
21 Ge 0.040 0.250 0.878
22 Ge 0.174 0.042 0.539
23 Ge 0.174 0.458 0.539
24 Ge 0.194 0.750 0.637
25 Ge 0.306 0.250 0.137
26 Ge 0.326 0.542 0.039
27 Ge 0.326 0.958 0.039
28 Ge 0.460 0.750 0.378
29 Ge 0.540 0.250 0.622
30 Ge 0.674 0.042 0.961
31 Ge 0.674 0.458 0.961
32 Ge 0.694 0.750 0.863
33 Ge 0.806 0.250 0.363
34 Ge 0.826 0.542 0.461
35 Ge 0.826 0.958 0.461
36 Ge 0.960 0.750 0.122


No. 6
Structure and computed powder diffractogram of Nb3GeTe6 (a structure optimized by DFT (GGA-PBE); copper Kα).
Kinematic intensities with the Lorentz-polarization factor, no thermal factor.

Most intense lines, 2θ from 5° to 70°, sorted by position:
11.96°, rel. 880
26.64°, rel. 239
27.32°, rel. 363
32.33°, rel. 1000
32.91°, rel. 420
34.15°, rel. 223
36.20°, rel. 289
40.70°, rel. 474
47.88°, rel. 285
49.27°, rel. 242

Atomic structure:
Lattice parameters (Å, degrees): 6.528 14.796 11.693 90.00 90.00 90.00
Fractional positions:
1 Nb 0.037 0.250 0.186
2 Nb 0.174 0.750 0.334
3 Nb 0.198 0.750 0.032
4 Nb 0.302 0.250 0.532
5 Nb 0.326 0.250 0.834
6 Nb 0.463 0.750 0.686
7 Nb 0.537 0.250 0.314
8 Nb 0.674 0.750 0.166
9 Nb 0.698 0.750 0.468
10 Nb 0.802 0.250 0.968
11 Nb 0.826 0.250 0.666
12 Nb 0.963 0.750 0.814
13 Ge 0.075 0.750 0.575
14 Ge 0.425 0.250 0.075
15 Ge 0.575 0.750 0.925
16 Ge 0.925 0.250 0.425
17 Te 0.134 0.126 0.993
18 Te 0.134 0.374 0.993
19 Te 0.145 0.122 0.682
20 Te 0.145 0.378 0.682
21 Te 0.216 0.123 0.341
22 Te 0.216 0.377 0.341
23 Te 0.284 0.623 0.841
24 Te 0.284 0.877 0.841
25 Te 0.355 0.622 0.182
26 Te 0.355 0.878 0.182
27 Te 0.366 0.626 0.493
28 Te 0.366 0.874 0.493
29 Te 0.634 0.126 0.507
30 Te 0.634 0.374 0.507
31 Te 0.645 0.122 0.818
32 Te 0.645 0.378 0.818
33 Te 0.716 0.123 0.159
34 Te 0.716 0.377 0.159
35 Te 0.784 0.623 0.659
36 Te 0.784 0.877 0.659
37 Te 0.855 0.622 0.318
38 Te 0.855 0.878 0.318
39 Te 0.866 0.626 0.007
40 Te 0.866 0.874 0.007


No. 7
Structure and computed powder diffractogram of ThNbVGe2 (a structure optimized by DFT (GGA-PBE); copper Kα).
Kinematic intensities with the Lorentz-polarization factor, no thermal factor.

Most intense lines, 2θ from 5° to 70°, sorted by position:
23.13°, rel. 225
31.11°, rel. 216
31.60°, rel. 714
34.69°, rel. 1000
44.29°, rel. 440
44.57°, rel. 422
55.66°, rel. 294
56.59°, rel. 126
64.64°, rel. 288
64.86°, rel. 136

Atomic structure:
Lattice parameters (Å, degrees): 6.578 6.578 6.578 143.99 143.99 51.84
Fractional positions:
1 Th 0.000 0.000 0.000
2 Nb 0.750 0.250 0.500
3 V 0.250 0.750 0.500
4 Ge 0.391 0.391 0.000
5 Ge 0.609 0.609 0.000


No. 8
Structure and computed powder diffractogram of Ti2NbGe6 (a structure optimized by DFT (GGA-PBE); copper Kα).
Kinematic intensities with the Lorentz-polarization factor, no thermal factor.

Most intense lines, 2θ from 5° to 70°, sorted by position:
24.45°, rel. 33
36.20°, rel. 155
38.59°, rel. 1000
39.55°, rel. 347
45.11°, rel. 226
45.15°, rel. 413
54.68°, rel. 92
65.07°, rel. 27
66.41°, rel. 192
66.68°, rel. 189

Atomic structure:
Lattice parameters (Å, degrees): 4.962 4.962 6.836 90.00 90.00 119.92
Fractional positions:
1 Ti 0.000 0.500 0.167
2 Ti 0.500 0.000 0.833
3 Nb 0.000 0.000 0.500
4 Ge 0.171 0.338 0.836
5 Ge 0.333 0.667 0.500
6 Ge 0.338 0.171 0.164
7 Ge 0.662 0.829 0.164
8 Ge 0.667 0.333 0.500
9 Ge 0.829 0.662 0.836